Record 1
Diffraction record for Th3Sc4Tl. The XRD peak list is calculated, not measured: it uses a DFT-relaxed cell (PBE, Alexandria) and λ = 1.5418 Å (Cu Kα).
Lines closer than 0.1° are merged.

Largest 12 diffraction maxima, by intensity, 2θ from 10° to 90°:
2θ 32.6, I 1000
2θ 25.5, I 416
2θ 36.4, I 395
2θ 20.0, I 352
2θ 63.1, I 301
2θ 41.9, I 228
2θ 55.6, I 184
2θ 52.4, I 140
2θ 48.5, I 133
2θ 40.6, I 115
2θ 68.3, I 99
2θ 56.6, I 98

Lattice parameters (Å, degrees): 3.491 3.491 17.785 90.00 90.00 90.00
Positions (direct):
Th (0.000, 0.000, 0.000)
Th (0.000, 0.000, 0.263)
Th (0.000, 0.000, 0.737)
Sc (0.500, 0.500, 0.131)
Sc (0.500, 0.500, 0.390)
Sc (0.500, 0.500, 0.610)
Sc (0.500, 0.500, 0.869)
Tl (0.000, 0.000, 0.500)

---

Record 2
Diffraction record for PrInPd3. The XRD peak list is calculated, not measured: it uses a DFT-relaxed cell (PBE, Alexandria) and λ = 1.5418 Å (Cu Kα).
Lines closer than 0.1° are merged.

Largest 12 diffraction maxima, by intensity, 2θ from 10° to 90°:
2θ 37.2, I 1000
2θ 22.3, I 633
2θ 39.3, I 482
2θ 49.7, I 402
2θ 45.7, I 349
2θ 81.6, I 315
2θ 63.5, I 279
2θ 45.6, I 256
2θ 24.3, I 197
2θ 42.2, I 179
2θ 30.5, I 165
2θ 69.7, I 165

Lattice parameters (Å, degrees): 5.862 5.862 15.926 90.00 90.00 120.00
Positions (direct):
Pr (0.000, 0.000, 0.000)
Pr (0.000, 0.000, 0.500)
Pr (0.333, 0.667, 0.250)
Pr (0.667, 0.333, 0.750)
In (0.333, 0.667, 0.629)
In (0.333, 0.667, 0.871)
In (0.667, 0.333, 0.129)
In (0.667, 0.333, 0.371)
Pd (0.000, 0.500, 0.000)
Pd (0.000, 0.500, 0.500)
Pd (0.152, 0.305, 0.750)
Pd (0.152, 0.848, 0.750)
Pd (0.305, 0.152, 0.250)
Pd (0.500, 0.000, 0.000)
Pd (0.500, 0.000, 0.500)
Pd (0.500, 0.500, 0.000)
Pd (0.500, 0.500, 0.500)
Pd (0.695, 0.848, 0.750)
Pd (0.848, 0.152, 0.250)
Pd (0.848, 0.695, 0.250)

---

Record 3
Diffraction record for Y4PC2. The XRD peak list is calculated, not measured: it uses a DFT-relaxed cell (PBE, Alexandria) and λ = 1.5418 Å (Cu Kα).
Lines closer than 0.1° are merged.

Largest 12 diffraction maxima, by intensity, 2θ from 10° to 90°:
2θ 32.6, I 1000
2θ 33.4, I 775
2θ 33.2, I 616
2θ 28.8, I 435
2θ 35.8, I 367
2θ 59.7, I 300
2θ 50.1, I 258
2θ 29.6, I 248
2θ 48.6, I 224
2θ 62.6, I 183
2θ 30.4, I 154
2θ 58.9, I 149

Lattice parameters (Å, degrees): 6.330 6.330 12.341 90.00 90.00 145.54
Positions (direct):
Y (0.000, 0.000, 0.000)
Y (0.000, 0.000, 0.500)
Y (0.266, 0.734, 0.610)
Y (0.266, 0.734, 0.890)
Y (0.441, 0.559, 0.250)
Y (0.559, 0.441, 0.750)
Y (0.734, 0.266, 0.110)
Y (0.734, 0.266, 0.390)
P (0.110, 0.890, 0.250)
P (0.890, 0.110, 0.750)
C (0.365, 0.635, 0.061)
C (0.365, 0.635, 0.439)
C (0.635, 0.365, 0.561)
C (0.635, 0.365, 0.939)

---

Record 4
Diffraction record for ScPbSe. The XRD peak list is calculated, not measured: it uses a DFT-relaxed cell (PBE, Alexandria) and λ = 1.5418 Å (Cu Kα).
Lines closer than 0.1° are merged.

Largest 12 diffraction maxima, by intensity, 2θ from 10° to 90°:
2θ 31.1, I 1000
2θ 39.1, I 406
2θ 22.3, I 319
2θ 50.7, I 257
2θ 65.8, I 237
2θ 60.0, I 230
2θ 43.6, I 99
2θ 72.2, I 91
2θ 49.5, I 85
2θ 86.9, I 85
2θ 70.8, I 71
2θ 85.3, I 61

Lattice parameters (Å, degrees): 4.611 4.611 4.153 90.00 90.00 120.00
Positions (direct):
Sc (0.000, 0.000, 0.000)
Pb (0.333, 0.667, 0.500)
Se (0.667, 0.333, 0.000)

---

Record 5
Diffraction record for KNb3O8. The XRD peak list is calculated, not measured: it uses a DFT-relaxed cell (PBE, Alexandria) and λ = 1.5418 Å (Cu Kα).
Lines closer than 0.1° are merged.

Largest 12 diffraction maxima, by intensity, 2θ from 10° to 90°:
2θ 24.1, I 1000
2θ 31.1, I 332
2θ 12.0, I 219
2θ 53.8, I 198
2θ 27.4, I 192
2θ 35.8, I 191
2θ 15.4, I 149
2θ 47.3, I 145
2θ 13.6, I 129
2θ 49.4, I 127
2θ 52.9, I 118
2θ 26.6, I 108

Lattice parameters (Å, degrees): 7.055 7.055 7.689 105.76 105.76 31.65
Positions (direct):
K (0.000, 0.000, 0.000)
Nb (0.652, 0.652, 0.439)
Nb (0.715, 0.715, 0.981)
Nb (0.936, 0.936, 0.429)
O (0.100, 0.100, 0.398)
O (0.197, 0.197, 0.931)
O (0.473, 0.473, 0.387)
O (0.629, 0.629, 0.136)
O (0.681, 0.681, 0.686)
O (0.790, 0.790, 0.435)
O (0.848, 0.848, 0.128)
O (0.978, 0.978, 0.667)

---

Record 6
Diffraction record for Na2Ti2O5. The XRD peak list is calculated, not measured: it uses a DFT-relaxed cell (PBE, Alexandria) and λ = 1.5418 Å (Cu Kα).
Lines closer than 0.1° are merged.

Largest 12 diffraction maxima, by intensity, 2θ from 10° to 90°:
2θ 20.5, I 1000
2θ 21.3, I 465
2θ 31.5, I 307
2θ 26.8, I 273
2θ 33.1, I 250
2θ 19.7, I 180
2θ 39.0, I 160
2θ 53.3, I 148
2θ 18.4, I 130
2θ 38.5, I 129
2θ 60.8, I 109
2θ 33.2, I 108

Lattice parameters (Å, degrees): 5.677 12.342 10.827 90.00 121.49 90.00
Positions (direct):
Na (0.054, 0.029, 0.355)
Na (0.054, 0.471, 0.855)
Na (0.407, 0.519, 0.617)
Na (0.407, 0.981, 0.117)
Na (0.593, 0.019, 0.883)
Na (0.593, 0.481, 0.383)
Na (0.946, 0.529, 0.145)
Na (0.946, 0.971, 0.645)
Ti (0.004, 0.181, 0.819)
Ti (0.004, 0.319, 0.319)
Ti (0.390, 0.682, 0.076)
Ti (0.390, 0.818, 0.576)
Ti (0.610, 0.182, 0.424)
Ti (0.610, 0.318, 0.924)
Ti (0.996, 0.681, 0.681)
Ti (0.996, 0.819, 0.181)
O (0.187, 0.060, 0.889)
O (0.187, 0.440, 0.389)
O (0.191, 0.657, 0.879)
O (0.191, 0.843, 0.379)
O (0.238, 0.200, 0.365)
O (0.238, 0.300, 0.865)
O (0.246, 0.697, 0.619)
O (0.246, 0.803, 0.119)
O (0.353, 0.565, 0.154)
O (0.353, 0.935, 0.654)
O (0.647, 0.065, 0.346)
O (0.647, 0.435, 0.846)
O (0.754, 0.197, 0.881)
O (0.754, 0.303, 0.381)
O (0.762, 0.700, 0.135)
O (0.762, 0.800, 0.635)
O (0.809, 0.157, 0.621)
O (0.809, 0.343, 0.121)
O (0.813, 0.560, 0.611)
O (0.813, 0.940, 0.111)

---

Record 7
Diffraction record for NaCa2AuO4. The XRD peak list is calculated, not measured: it uses a DFT-relaxed cell (PBE, Alexandria) and λ = 1.5418 Å (Cu Kα).
Lines closer than 0.1° are merged.

Largest 12 diffraction maxima, by intensity, 2θ from 10° to 90°:
2θ 31.9, I 1000
2θ 16.3, I 898
2θ 32.9, I 442
2θ 27.3, I 415
2θ 19.8, I 380
2θ 58.1, I 294
2θ 40.0, I 289
2θ 40.3, I 285
2θ 24.8, I 248
2θ 52.3, I 224
2θ 26.0, I 197
2θ 66.7, I 168

Lattice parameters (Å, degrees): 6.354 6.354 7.031 115.36 115.36 89.63
Positions (direct):
Na (0.000, 0.000, 0.000)
Na (0.000, 0.000, 0.500)
Ca (0.000, 0.500, 0.000)
Ca (0.500, 0.000, 0.500)
Ca (0.500, 0.500, 0.000)
Ca (0.500, 0.500, 0.500)
Au (0.000, 0.500, 0.500)
Au (0.500, 0.000, 0.000)
O (0.185, 0.686, 0.414)
O (0.256, 0.296, 0.556)
O (0.296, 0.256, 0.056)
O (0.314, 0.815, 0.086)
O (0.686, 0.185, 0.914)
O (0.704, 0.744, 0.944)
O (0.744, 0.704, 0.444)
O (0.815, 0.314, 0.586)

---

Record 8
Diffraction record for Ta4GaH. The XRD peak list is calculated, not measured: it uses a DFT-relaxed cell (PBE, Alexandria) and λ = 1.5418 Å (Cu Kα).
Lines closer than 0.1° are merged.

Largest 12 diffraction maxima, by intensity, 2θ from 10° to 90°:
2θ 35.7, I 1000
2θ 32.8, I 543
2θ 35.1, I 458
2θ 45.5, I 292
2θ 36.2, I 257
2θ 47.9, I 220
2θ 60.8, I 192
2θ 65.2, I 155
2θ 83.1, I 153
2θ 54.6, I 150
2θ 57.6, I 130
2θ 50.1, I 115

Lattice parameters (Å, degrees): 5.468 5.468 3.360 90.00 90.00 91.97
Positions (direct):
Ta (0.183, 0.817, 0.000)
Ta (0.247, 0.247, 0.500)
Ta (0.753, 0.753, 0.500)
Ta (0.817, 0.183, 0.000)
Ga (0.500, 0.500, 0.000)
H (0.000, 0.000, 0.500)

---

Record 9
Diffraction record for YTeI2. The XRD peak list is calculated, not measured: it uses a DFT-relaxed cell (PBE, Alexandria) and λ = 1.5418 Å (Cu Kα).
Lines closer than 0.1° are merged.

Largest 12 diffraction maxima, by intensity, 2θ from 10° to 90°:
2θ 23.4, I 1000
2θ 36.5, I 666
2θ 32.1, I 529
2θ 25.6, I 495
2θ 39.8, I 393
2θ 46.3, I 300
2θ 16.1, I 290
2θ 57.8, I 228
2θ 22.9, I 222
2θ 33.0, I 220
2θ 16.9, I 214
2θ 32.6, I 188

Lattice parameters (Å, degrees): 8.332 8.332 8.332 97.40 97.40 137.94
Positions (direct):
Y (0.000, 0.000, 0.000)
Y (0.750, 0.250, 0.500)
Te (0.250, 0.750, 0.500)
Te (0.500, 0.500, 0.000)
I (0.375, 0.231, 0.356)
I (0.769, 0.125, 0.144)
I (0.875, 0.019, 0.644)
I (0.981, 0.625, 0.856)

---

Record 10
Diffraction record for Be2Ru2Pb. The XRD peak list is calculated, not measured: it uses a DFT-relaxed cell (PBE, Alexandria) and λ = 1.5418 Å (Cu Kα).
Lines closer than 0.1° are merged.

Largest 12 diffraction maxima, by intensity, 2θ from 10° to 90°:
2θ 51.8, I 1000
2θ 29.0, I 991
2θ 41.9, I 989
2θ 29.3, I 546
2θ 41.7, I 514
2θ 18.4, I 496
2θ 26.2, I 357
2θ 75.9, I 351
2θ 37.3, I 307
2θ 47.9, I 306
2θ 34.5, I 285
2θ 68.7, I 278

Lattice parameters (Å, degrees): 6.814 6.814 3.082 90.00 90.00 90.00
Positions (direct):
Be (0.125, 0.375, 0.000)
Be (0.375, 0.875, 0.000)
Be (0.625, 0.125, 0.000)
Be (0.875, 0.625, 0.000)
Ru (0.146, 0.646, 0.500)
Ru (0.354, 0.146, 0.500)
Ru (0.646, 0.854, 0.500)
Ru (0.854, 0.354, 0.500)
Pb (0.000, 0.000, 0.500)
Pb (0.500, 0.500, 0.500)

---

Record 11
Diffraction record for AgSI2. The XRD peak list is calculated, not measured: it uses a DFT-relaxed cell (PBE, Alexandria) and λ = 1.5418 Å (Cu Kα).
Lines closer than 0.1° are merged.

Largest 12 diffraction maxima, by intensity, 2θ from 10° to 90°:
2θ 14.4, I 1000
2θ 23.6, I 930
2θ 34.4, I 686
2θ 24.4, I 681
2θ 42.6, I 631
2θ 24.0, I 613
2θ 42.0, I 571
2θ 32.3, I 548
2θ 23.3, I 507
2θ 29.0, I 425
2θ 41.7, I 416
2θ 18.7, I 402

Lattice parameters (Å, degrees): 7.308 7.424 13.153 90.00 122.61 90.00
Positions (direct):
Ag (0.047, 0.134, 0.145)
Ag (0.047, 0.866, 0.645)
Ag (0.953, 0.134, 0.355)
Ag (0.953, 0.866, 0.855)
S (0.423, 0.481, 0.664)
S (0.423, 0.519, 0.164)
S (0.577, 0.481, 0.836)
S (0.577, 0.519, 0.336)
I (0.052, 0.243, 0.586)
I (0.052, 0.757, 0.086)
I (0.372, 0.226, 0.382)
I (0.372, 0.774, 0.882)
I (0.628, 0.226, 0.118)
I (0.628, 0.774, 0.618)
I (0.948, 0.243, 0.914)
I (0.948, 0.757, 0.414)

---

Record 12
Diffraction record for VNi15Sb4. The XRD peak list is calculated, not measured: it uses a DFT-relaxed cell (PBE, Alexandria) and λ = 1.5418 Å (Cu Kα).
Lines closer than 0.1° are merged.

Largest 12 diffraction maxima, by intensity, 2θ from 10° to 90°:
2θ 42.3, I 1000
2θ 49.2, I 326
2θ 87.3, I 225
2θ 72.3, I 171
2θ 49.5, I 143
2θ 72.1, I 97
2θ 87.8, I 88
2θ 24.0, I 44
2θ 34.3, I 34
2θ 24.2, I 23
2θ 39.6, I 23
2θ 82.0, I 19

Lattice parameters (Å, degrees): 3.706 3.706 18.415 90.00 90.00 90.00
Positions (direct):
V (0.000, 0.000, 0.000)
Ni (0.000, 0.500, 0.090)
Ni (0.000, 0.500, 0.296)
Ni (0.000, 0.500, 0.500)
Ni (0.000, 0.500, 0.704)
Ni (0.000, 0.500, 0.910)
Ni (0.500, 0.000, 0.090)
Ni (0.500, 0.000, 0.296)
Ni (0.500, 0.000, 0.500)
Ni (0.500, 0.000, 0.704)
Ni (0.500, 0.000, 0.910)
Ni (0.500, 0.500, 0.000)
Ni (0.500, 0.500, 0.194)
Ni (0.500, 0.500, 0.398)
Ni (0.500, 0.500, 0.602)
Ni (0.500, 0.500, 0.806)
Sb (0.000, 0.000, 0.194)
Sb (0.000, 0.000, 0.398)
Sb (0.000, 0.000, 0.602)
Sb (0.000, 0.000, 0.806)